1.
# Sr3Gd
Calculated X-ray powder pattern, λ = 1.5418 Å (Cu Kα). Input: a structure optimized by DFT (PBE).
Intensities are scaled so that the largest is 100.

Structure:
```
data_Sr3Gd
_symmetry_space_group_name_H-M 'P m -3 m'
_symmetry_Int_Tables_number 221
_symmetry_space_group_name_Hall '-P 4 2 3'
_cell_length_a 5.761
_cell_length_b 5.761
_cell_length_c 5.761
_cell_angle_alpha 90.00
_cell_angle_beta 90.00
_cell_angle_gamma 90.00
loop_
_atom_site_label
_atom_site_type_symbol
_atom_site_fract_x
_atom_site_fract_y
_atom_site_fract_z
Sr1 Sr 0.000 0.000 0.500
Gd1 Gd 0.500 0.500 0.500
```

Main lines, low angle first (10° ≤ 2θ ≤ 90°):
- hkl 1 1 1, d 3.326, intensity 100
- hkl 2 0 0, d 2.880, intensity 51
- hkl 2 2 0, d 2.037, intensity 38
- hkl 3 1 1, d 1.737, intensity 46
- hkl 3 3 1, d 1.322, intensity 18
- hkl 4 2 0, d 1.288, intensity 17

---

2.
# Tb5Gd
Calculated X-ray powder pattern, λ = 1.5418 Å (Cu Kα). Input: a structure optimized by DFT (PBE).
Intensities are scaled so that the largest is 100.

Structure:
```
data_Tb5Gd
_symmetry_space_group_name_H-M 'C m m m'
_symmetry_Int_Tables_number 65
_symmetry_space_group_name_Hall '-C 2 2'
_cell_length_a 5.036
_cell_length_b 15.120
_cell_length_c 5.044
_cell_angle_alpha 90.00
_cell_angle_beta 90.00
_cell_angle_gamma 90.00
loop_
_atom_site_label
_atom_site_type_symbol
_atom_site_fract_x
_atom_site_fract_y
_atom_site_fract_z
Tb1 Tb 0.000 0.000 0.000
Tb2 Tb 0.000 0.167 0.500
Tb3 Tb 0.000 0.333 0.000
Gd1 Gd 0.000 0.500 0.500
```

Main lines, low angle first (10° ≤ 2θ ≤ 90°):
- hkl 1 3 1, d 2.910, intensity 100
- hkl 2 0 0, d 2.520, intensity 51
- hkl 2 6 0, d 1.782, intensity 36
- hkl 3 3 1, d 1.520, intensity 43
- hkl 2 6 2, d 1.455, intensity 12
- hkl 3 9 1, d 1.156, intensity 18

---

3.
# Tb3Gd
Calculated X-ray powder pattern, λ = 1.5418 Å (Cu Kα). Input: a structure optimized by DFT (PBE).
Intensities are scaled so that the largest is 100.

Structure:
```
data_Tb3Gd
_symmetry_space_group_name_H-M 'P m -3 m'
_symmetry_Int_Tables_number 221
_symmetry_space_group_name_Hall '-P 4 2 3'
_cell_length_a 5.039
_cell_length_b 5.039
_cell_length_c 5.039
_cell_angle_alpha 90.00
_cell_angle_beta 90.00
_cell_angle_gamma 90.00
loop_
_atom_site_label
_atom_site_type_symbol
_atom_site_fract_x
_atom_site_fract_y
_atom_site_fract_z
Tb1 Tb 0.000 0.000 0.500
Gd1 Gd 0.500 0.500 0.500
```

Main lines, low angle first (10° ≤ 2θ ≤ 90°):
- hkl 1 1 1, d 2.910, intensity 100
- hkl 2 0 0, d 2.520, intensity 51
- hkl 2 2 0, d 1.782, intensity 36
- hkl 3 1 1, d 1.519, intensity 43
- hkl 3 3 1, d 1.156, intensity 18
- hkl 4 2 0, d 1.127, intensity 17

---

4.
# Tb3Gd
Calculated X-ray powder pattern, λ = 1.5418 Å (Cu Kα). Input: a structure optimized by DFT (PBE).
Intensities are scaled so that the largest is 100.

Structure:
```
data_Tb3Gd
_symmetry_space_group_name_H-M 'I m m 2'
_symmetry_Int_Tables_number 44
_symmetry_space_group_name_Hall 'I 2 -2'
_cell_length_a 3.627
_cell_length_b 11.431
_cell_length_c 6.286
_cell_angle_alpha 90.00
_cell_angle_beta 90.00
_cell_angle_gamma 90.00
loop_
_atom_site_label
_atom_site_type_symbol
_atom_site_fract_x
_atom_site_fract_y
_atom_site_fract_z
Tb1 Tb 0.000 0.000 0.000
Tb2 Tb 0.000 0.252 0.667
Gd1 Gd 0.000 0.500 0.001
```

Main lines, low angle first (10° ≤ 2θ ≤ 90°):
- hkl 0 0 2, d 3.142, intensity 24
- hkl 0 4 0, d 2.858, intensity 25
- hkl 1 2 1, d 2.753, intensity 100
- hkl 2 0 0, d 1.814, intensity 20
- hkl 1 6 1, d 1.629, intensity 21
- hkl 2 4 0, d 1.531, intensity 23

---

5.
# TbGdTlZn
Calculated X-ray powder pattern, λ = 1.5418 Å (Cu Kα). Input: a structure optimized by DFT (PBE).
Intensities are scaled so that the largest is 100.

Structure:
```
data_TbGdTlZn
_symmetry_space_group_name_H-M 'F -4 3 m'
_symmetry_Int_Tables_number 216
_symmetry_space_group_name_Hall 'F -4 2 3'
_cell_length_a 7.433
_cell_length_b 7.433
_cell_length_c 7.433
_cell_angle_alpha 90.00
_cell_angle_beta 90.00
_cell_angle_gamma 90.00
loop_
_atom_site_label
_atom_site_type_symbol
_atom_site_fract_x
_atom_site_fract_y
_atom_site_fract_z
Tb1 Tb 0.000 0.000 0.000
Gd1 Gd 0.000 0.000 0.500
Tl1 Tl 0.250 0.250 0.250
Zn1 Zn 0.250 0.250 0.750
```

Main lines, low angle first (10° ≤ 2θ ≤ 90°):
- hkl 1 1 1, d 4.291, intensity 11
- hkl 2 2 0, d 2.628, intensity 100
- hkl 4 0 0, d 1.858, intensity 18
- hkl 4 2 2, d 1.517, intensity 37
- hkl 4 4 0, d 1.314, intensity 12
- hkl 6 2 0, d 1.175, intensity 16

---

6.
# GdTc2
Calculated X-ray powder pattern, λ = 1.5418 Å (Cu Kα). Input: a structure optimized by DFT (PBE).
Intensities are scaled so that the largest is 100.

Structure:
Lattice parameters (Å, degrees): 7.675 7.675 7.675 90.00 90.00 90.00
Space group Fd-3m (No. 227, origin choice 2)
One atom of each set of equivalent atoms:
Gd 0.125 0.125 0.125
Tc 0.000 0.000 0.500

Main lines, low angle first (10° ≤ 2θ ≤ 90°):
- hkl 2 2 0, d 2.714, intensity 43
- hkl 3 1 1, d 2.314, intensity 100
- hkl 2 2 2, d 2.216, intensity 27
- hkl 4 2 2, d 1.567, intensity 16
- hkl 5 1 1, d 1.477, intensity 32
- hkl 4 4 0, d 1.357, intensity 26

---

7.
# GdTc2W
Calculated X-ray powder pattern, λ = 1.5418 Å (Cu Kα). Input: a structure optimized by DFT (PBE).
Intensities are scaled so that the largest is 100.

Structure:
```
data_GdTc2W
_symmetry_space_group_name_H-M 'P 4/m m m'
_symmetry_Int_Tables_number 123
_symmetry_space_group_name_Hall '-P 4 2'
_cell_length_a 3.202
_cell_length_b 3.202
_cell_length_c 6.939
_cell_angle_alpha 90.00
_cell_angle_beta 90.00
_cell_angle_gamma 90.00
loop_
_atom_site_label
_atom_site_type_symbol
_atom_site_fract_x
_atom_site_fract_y
_atom_site_fract_z
Gd1 Gd 0.000 0.000 0.000
Tc1 Tc 0.500 0.500 0.286
W1 W 0.000 0.000 0.500
```

Main lines, low angle first (10° ≤ 2θ ≤ 90°):
- hkl 1 0 2, d 2.353, intensity 100
- hkl 1 1 0, d 2.264, intensity 48
- hkl 2 0 0, d 1.601, intensity 16
- hkl 1 1 4, d 1.377, intensity 15
- hkl 2 1 2, d 1.324, intensity 32
- hkl 2 0 4, d 1.177, intensity 9

---

8.
# Gd2Te
Calculated X-ray powder pattern, λ = 1.5418 Å (Cu Kα). Input: a structure optimized by DFT (PBE).
Intensities are scaled so that the largest is 100.

Structure:
```
data_Gd2Te
_symmetry_space_group_name_H-M 'I 4/m m m'
_symmetry_Int_Tables_number 139
_symmetry_space_group_name_Hall '-I 4 2'
_cell_length_a 3.935
_cell_length_b 3.935
_cell_length_c 11.451
_cell_angle_alpha 90.00
_cell_angle_beta 90.00
_cell_angle_gamma 90.00
loop_
_atom_site_label
_atom_site_type_symbol
_atom_site_fract_x
_atom_site_fract_y
_atom_site_fract_z
Gd1 Gd 0.000 0.000 0.153
Te1 Te 0.000 0.000 0.500
```

Main lines, low angle first (10° ≤ 2θ ≤ 90°):
- hkl 1 1 0, d 2.782, intensity 55
- hkl 1 0 3, d 2.740, intensity 100
- hkl 2 0 0, d 1.967, intensity 20
- hkl 2 1 3, d 1.598, intensity 39
- hkl 1 1 6, d 1.574, intensity 16
- hkl 2 0 6, d 1.370, intensity 10